Calculated X-ray powder pattern
Compound: Fe2O3
Radiation: Cu Kα (λ = 1.5418 Å)
Structure: a crystal structure in Alexandria, relaxed with GGA+U
No peak broadening, texture or thermal motion is included.

Most intense lines, 2θ from 10° to 90°, by angle:
| 2θ/deg | I/Imax | hkl |
| --- | --- | --- |
| 20.54 | 24 | 1 1 1 |
| 32.91 | 100 | 0 2 2 |
| 33.40 | 91 | 2 2 0 |
| 35.22 | 52 | 2 0 2 |
| 41.53 | 19 | 3 1 1 |
| 49.97 | 24 | 0 0 4 |
| 51.36 | 20 | 4 0 0 |
| 57.87 | 35 | 2 4 2 |
| 61.45 | 43 | 2 2 4 |
| 62.36 | 23 | 4 2 2 |

```
data_Fe2O3
_chemical_formula_sum 'Fe16 O24'
_cell_length_a 7.116
_cell_length_b 8.168
_cell_length_c 7.300
_cell_angle_alpha 90.00
_cell_angle_beta 90.00
_cell_angle_gamma 90.00
_symmetry_space_group_name_H-M 'F d d 2'
_symmetry_Int_Tables_number 43
_symmetry_space_group_name_Hall 'F 2 -2d'
loop_
_atom_site_label
_atom_site_fract_x
_atom_site_fract_y
_atom_site_fract_z
Fe1 0.022 0.225 0.000
O1 0.000 0.000 0.149
O2 0.043 0.157 0.737
```